(1)
# TbBeAu3
Simulated powder X-ray diffraction pattern, λ = 1.5418 Å (Cu Kα). Input: a PBE-relaxed structure.
Kinematic intensities with the Lorentz-polarization factor, no thermal factor.

Cell and atoms:
```
TbBeAu3
1.0
6.629 0.000 0.000
-3.315 5.741 0.000
0.000 0.000 7.479
Tb Be Au
3 3 9
direct
0.000 0.000 0.000
0.333 0.667 0.667
0.667 0.333 0.333
0.000 0.000 0.591
0.333 0.667 0.258
0.667 0.333 0.925
0.043 0.521 0.027
0.145 0.290 0.360
0.145 0.855 0.360
0.376 0.188 0.693
0.479 0.521 0.027
0.479 0.957 0.027
0.710 0.855 0.360
0.812 0.188 0.693
0.812 0.624 0.693
```

Largest 6 diffraction maxima, most intense first, 10° ≤ 2θ ≤ 90°:
hkl 0 2 1, 2θ = 33.4°, 2.680 Å, rel. 100
hkl 2 0 2, 2θ = 39.6°, 2.277 Å, rel. 64
hkl 0 0 3, 2θ = 36.0°, 2.493 Å, rel. 30
hkl 2 2 3, 2θ = 67.9°, 1.380 Å, rel. 20
hkl 2 2 0, 2θ = 55.4°, 1.657 Å, rel. 20
hkl 0 2 4, 2θ = 59.0°, 1.567 Å, rel. 19

(2)
# BeTeAu
Simulated powder X-ray diffraction pattern, λ = 1.5418 Å (Cu Kα). Input: a PBE-relaxed structure.
Kinematic intensities with the Lorentz-polarization factor, no thermal factor.

Cell and atoms:
```
BeTeAu
1.0
13.228 0.000 0.000
0.000 3.000 0.000
-0.732 0.000 3.130
Be Te Au
2 2 2
direct
0.000 0.000 0.000
0.500 0.500 0.000
0.173 0.500 0.163
0.673 0.000 0.163
0.422 0.000 0.428
0.922 0.500 0.428
```

Largest 6 diffraction maxima, most intense first, 10° ≤ 2θ ≤ 90°:
hkl 4 0 0, 2θ = 27.7°, 3.220 Å, rel. 100
hkl 1 1 0, 2θ = 30.6°, 2.921 Å, rel. 78
hkl 1 1 1, 2θ = 43.5°, 2.083 Å, rel. 62
hkl 3 1 -1, 2θ = 43.7°, 2.069 Å, rel. 61
hkl 3 1 0, 2θ = 36.5°, 2.459 Å, rel. 54
hkl 2 0 -1, 2θ = 28.7°, 3.107 Å, rel. 52